[1]
Calculated powder diffraction line list
Compound: Cs2NdTlSe4
Radiation: copper Kα
Structure: a PBE-relaxed structure

Top 6 peaks for 10 to 90 degrees two-theta, in order of rising 2θ:
Position (°2θ), I/Imax
23.30, 34
26.65, 100
26.77, 97
28.14, 80
38.13, 71
39.15, 63

Structural model:
```
16
Lattice="6.343 -6.690 0.000 6.343 6.690 0.000 -6.185 0.000 6.660" Properties=species:S:1:pos:R:3 pbc="T T T"
Cs 0.000 0.000 0.000
Cs -3.093 0.000 3.330
Cs 3.172 3.345 0.000
Cs 0.079 -3.345 3.330
Nd 6.343 0.000 0.000
Nd 3.251 0.000 3.330
Tl 0.079 3.345 3.330
Tl 3.172 -3.345 0.000
Se 2.855 3.089 3.486
Se 0.312 0.159 3.651
Se 0.554 3.089 6.504
Se 3.405 -0.159 0.321
Se 3.097 0.159 6.339
Se 5.947 -3.089 0.156
Se 6.189 -0.159 3.009
Se 3.647 -3.089 3.174
```

[2]
Calculated powder diffraction line list
Compound: BaNp4Ag3Se12
Radiation: copper Kα
Structure: a PBE-relaxed structure

Top 6 peaks for 10 to 90 degrees two-theta, in order of rising 2θ:
Position (°2θ), I/Imax
17.09, 30
24.26, 100
34.58, 48
42.69, 93
67.55, 32
78.16, 35

Structural model:
```
20
Lattice="-5.188 5.188 5.188 5.188 -5.188 5.188 5.188 5.188 -5.188" Properties=species:S:1:pos:R:3 pbc="T T T"
Ba 0.000 0.000 0.000
Np 2.594 2.594 -2.594
Np 2.594 -2.594 2.594
Np -2.594 2.594 2.594
Np 2.594 2.594 2.594
Ag 5.188 0.000 0.000
Ag 0.000 5.188 0.000
Ag 0.000 0.000 5.188
Se 5.188 3.379 -2.050
Se 3.138 0.000 1.809
Se 7.238 0.000 1.809
Se 1.809 3.138 0.000
Se 3.379 -2.050 5.188
Se 0.000 1.809 3.138
Se 5.188 3.379 2.050
Se 1.809 7.238 0.000
Se 3.379 2.050 5.188
Se -2.050 5.188 3.379
Se 2.050 5.188 3.379
Se 0.000 1.809 7.238
```

[3]
Calculated powder diffraction line list
Compound: LiCaHS
Radiation: copper Kα
Structure: a PBE-relaxed structure

Top 6 peaks for 10 to 90 degrees two-theta, in order of rising 2θ:
Position (°2θ), I/Imax
25.54, 25
33.62, 100
45.02, 31
57.34, 18
64.62, 19
75.73, 15

Structural model:
```
4
Lattice="4.027 0.000 0.000 -2.014 3.488 0.000 0.000 0.000 4.134" Properties=species:S:1:pos:R:3 pbc="T T T"
Li 0.000 0.000 0.000
Ca 0.000 2.325 2.067
H 0.000 0.000 2.067
S 2.014 1.163 0.000
```

[4]
Calculated powder diffraction line list
Compound: Ac4CdAg2Hg
Radiation: copper Kα
Structure: a PBE-relaxed structure

Top 6 peaks for 10 to 90 degrees two-theta, in order of rising 2θ:
Position (°2θ), I/Imax
22.14, 7
31.52, 100
45.17, 19
56.03, 10
56.15, 30
74.79, 17

Structural model:
```
8
Lattice="2.836 1.637 9.287 -2.836 1.637 9.287 0.000 -3.275 9.287" Properties=species:S:1:pos:R:3 pbc="T T T"
Ac 0.000 0.000 3.452
Ac 0.000 0.000 10.422
Ac 0.000 0.000 17.437
Ac 0.000 0.000 24.408
Cd 0.000 0.000 13.930
Ag 0.000 0.000 6.897
Ag 0.000 0.000 20.963
Hg 0.000 0.000 0.000
```